(1)
Structure and calculated X-ray powder pattern of YNpIr2 (a structure optimized by DFT (PBE); Cu Kα (λ = 1.5418 Å)).
Intensities are scaled so that the largest is 100.

Cell and atoms:
```
data_YNpIr2
_chemical_formula_sum 'Y1 Np1 Ir2'
_cell_length_a 4.2773
_cell_length_b 5.5833
_cell_length_c 5.5833
_cell_angle_alpha 39.13
_cell_angle_beta 90.00
_cell_angle_gamma 90.00
_symmetry_space_group_name_H-M 'P 1'
_symmetry_Int_Tables_number 1
loop_
_symmetry_equiv_pos_as_xyz
'x,y,z'
loop_
_atom_site_label
_atom_site_type_symbol
_atom_site_fract_x
_atom_site_fract_y
_atom_site_fract_z
Y1 Y 0.0000 0.0000 0.0000
Np1 Np 0.5000 0.7203 0.7203
Ir1 Ir 0.0000 0.2684 0.2684
Ir2 Ir 0.5000 0.4511 0.4511
```

The 12 most intense peaks (2θ from 15° to 90°), in order of rising 2θ:
d [Å], Position (°2θ), intensity
5.261, 16.85, 16
2.720, 32.93, 100
2.630, 34.08, 33
2.241, 40.25, 24
2.196, 41.11, 76
2.139, 42.26, 29
1.870, 48.70, 19
1.659, 55.37, 17
1.524, 60.77, 13
1.408, 66.41, 16
1.245, 76.49, 13
1.241, 76.80, 13



(2)
Structure and calculated X-ray powder pattern of KSr2Cl (a structure optimized by DFT (PBE); Cu Kα (λ = 1.5418 Å)).
Intensities are scaled so that the largest is 100.

Cell and atoms:
```
data_KSr2Cl
_chemical_formula_sum 'K1 Sr2 Cl1'
_cell_length_a 4.2297
_cell_length_b 4.0518
_cell_length_c 10.9743
_cell_angle_alpha 90.00
_cell_angle_beta 101.08
_cell_angle_gamma 90.00
_symmetry_space_group_name_H-M 'P 1'
_symmetry_Int_Tables_number 1
loop_
_symmetry_equiv_pos_as_xyz
'x,y,z'
loop_
_atom_site_label
_atom_site_type_symbol
_atom_site_fract_x
_atom_site_fract_y
_atom_site_fract_z
K1 K 0.0000 0.0000 0.0000
Sr1 Sr 0.3266 0.5000 0.6562
Sr2 Sr 0.6834 0.0000 0.3684
Cl1 Cl 0.5755 0.5000 0.1503
```

The 12 most intense peaks (2θ from 15° to 90°), in order of rising 2θ:
d [Å], Position (°2θ), intensity
4.150, 21.41, 16
3.792, 23.46, 30
3.644, 24.43, 100
3.590, 24.80, 32
3.238, 27.55, 82
2.899, 30.84, 68
2.690, 33.30, 20
2.420, 37.15, 28
2.120, 42.64, 35
2.115, 42.76, 16
2.083, 43.44, 20
1.771, 51.62, 51



(3)
Structure and calculated X-ray powder pattern of Ti2SnP3O12 (a structure optimized by DFT (PBE); Cu Kα (λ = 1.5418 Å)).
Intensities are scaled so that the largest is 100.

Cell and atoms:
```
data_Ti2SnP3O12
_chemical_formula_sum 'Ti4 Sn2 P6 O24'
_cell_length_a 9.0489
_cell_length_b 9.0489
_cell_length_c 9.0489
_cell_angle_alpha 57.26
_cell_angle_beta 57.26
_cell_angle_gamma 57.26
_symmetry_space_group_name_H-M 'P 1'
_symmetry_Int_Tables_number 1
loop_
_symmetry_equiv_pos_as_xyz
'x,y,z'
loop_
_atom_site_label
_atom_site_type_symbol
_atom_site_fract_x
_atom_site_fract_y
_atom_site_fract_z
Ti1 Ti 0.1490 0.1490 0.1490
Ti2 Ti 0.3510 0.3510 0.3510
Ti3 Ti 0.6490 0.6490 0.6490
Ti4 Ti 0.8510 0.8510 0.8510
Sn1 Sn 0.0000 0.0000 0.0000
Sn2 Sn 0.5000 0.5000 0.5000
P1 P 0.0383 0.7500 0.4617
P2 P 0.2500 0.5383 0.9617
P3 P 0.4617 0.0383 0.7500
P4 P 0.5383 0.9617 0.2500
P5 P 0.7500 0.4617 0.0383
P6 P 0.9617 0.2500 0.5383
O1 O 0.0075 0.7832 0.6281
O2 O 0.0628 0.9233 0.2797
O3 O 0.0767 0.7203 0.9372
O4 O 0.1281 0.2832 0.5075
O5 O 0.2168 0.3719 0.9925
O6 O 0.2203 0.5767 0.4372
O7 O 0.2797 0.0628 0.9233
O8 O 0.2832 0.5075 0.1281
O9 O 0.3719 0.9925 0.2168
O10 O 0.4233 0.5628 0.7797
O11 O 0.4372 0.2203 0.5767
O12 O 0.4925 0.8719 0.7168
O13 O 0.5075 0.1281 0.2832
O14 O 0.5628 0.7797 0.4233
O15 O 0.5767 0.4372 0.2203
O16 O 0.6281 0.0075 0.7832
O17 O 0.7168 0.4925 0.8719
O18 O 0.7203 0.9372 0.0767
O19 O 0.7797 0.4233 0.5628
O20 O 0.7832 0.6281 0.0075
O21 O 0.8719 0.7168 0.4925
O22 O 0.9233 0.2797 0.0628
O23 O 0.9372 0.0767 0.7203
O24 O 0.9925 0.2168 0.3719
```

The 12 most intense peaks (2θ from 15° to 90°), in order of rising 2θ:
d [Å], Position (°2θ), intensity
4.336, 20.49, 90
3.758, 23.67, 70
3.563, 24.99, 29
2.844, 31.45, 100
2.753, 32.53, 24
2.503, 35.88, 33
2.085, 43.40, 19
2.003, 45.28, 26
1.879, 48.44, 35
1.677, 54.74, 14
1.639, 56.12, 24
1.503, 61.73, 23